This entry pairs a crystal structure of Pm4TmTl2 with its calculated powder XRD pattern. Radiation: CuKα. Structure: the GGA-PBE geometry in Alexandria.

Largest 8 diffraction maxima, low angle first, 2θ from 10° to 80°:
Position (°2θ)  I_rel  (hkl)
18.66  25  1 0 1
30.03  14  0 0 9
32.09  100  1 1 0
32.54  69  0 1 8
44.52  28  1 1 9
46.35  26  2 0 8
57.21  20  3 0 0
57.49  27  1 2 8

Cell: 5.5780 5.5780 26.7851 Å, 90.00 90.00 120.00°
Space group R-3m (No. 166, hexagonal axes)
Unique sites:
Pm 0.0000 0.0000 0.1306 [6 per cell]
Pm 0.0000 0.0000 0.2676 [6 per cell]
Tm 0.0000 0.0000 0.5000 [3 per cell]
Tl 0.0000 0.0000 0.3862 [6 per cell]